(1)
The following is a computed XRD peak list of CePm4Ho8. It was derived from DFT lattice parameters and positions (PBE), using copper Kα.

The 8 most intense peaks (10 to 90 degrees two-theta), by angle:
2theta	I_rel
19.8	12
22.9	10
32.6	100
46.7	18
58.1	28
58.2	9
77.6	8
77.7	8

```
13
Lattice="5.503 3.177 4.480 -5.503 3.177 4.480 0.000 -6.355 4.480" Properties=species:S:1:pos:R:3 pbc="T T T"
Ce 0.000 0.000 0.000
Pm -5.503 0.000 6.720
Pm -2.752 1.589 2.240
Pm 2.752 1.589 2.240
Pm 0.000 0.000 6.720
Ho -2.660 -1.536 7.793
Ho 0.000 0.000 3.476
Ho 0.000 -3.072 5.646
Ho -2.660 1.536 5.646
Ho 2.660 -1.536 7.793
Ho 0.000 3.072 7.793
Ho 0.000 0.000 9.964
Ho 2.660 1.536 5.646
```

***

(2)
The following is a computed XRD peak list of Th4Cu2C. It was derived from DFT lattice parameters and positions (PBE), using copper Kα.

The 8 most intense peaks (10 to 90 degrees two-theta), by angle:
2theta	I_rel
26.1	25
28.1	100
35.5	58
36.1	41
36.9	24
51.1	21
53.7	21
59.2	40

```
14
Lattice="5.059 0.000 0.000 0.000 5.059 0.000 0.000 0.000 13.879" Properties=species:S:1:pos:R:3 pbc="T T T"
Th 0.000 0.000 2.524
Th 0.000 0.000 11.355
Th 0.000 2.530 0.000
Th 0.000 2.530 6.940
Th 2.530 0.000 0.000
Th 2.530 0.000 6.940
Th 2.530 2.530 4.416
Th 2.530 2.530 9.464
Cu 0.000 0.000 5.300
Cu 0.000 0.000 8.579
Cu 2.530 2.530 1.640
Cu 2.530 2.530 12.240
C 0.000 0.000 0.000
C 2.530 2.530 6.940
```

***

(3)
The following is a computed XRD peak list of AcErSb2. It was derived from DFT lattice parameters and positions (PBE), using copper Kα.

The 8 most intense peaks (10 to 90 degrees two-theta), by angle:
2theta	I_rel
25.5	63
28.8	100
37.6	24
39.6	61
42.7	28
49.7	22
64.2	24
65.4	20

```
8
Lattice="4.548 0.000 0.000 -2.274 3.938 0.000 0.000 0.000 15.064" Properties=species:S:1:pos:R:3 pbc="T T T"
Ac 0.000 2.626 3.766
Ac 2.274 1.313 11.298
Er 0.000 0.000 0.000
Er 0.000 0.000 7.532
Sb 0.000 2.626 9.203
Sb 0.000 2.626 13.392
Sb 2.274 1.313 1.672
Sb 2.274 1.313 5.860
```